No. 1
Ba5SrTl: theoretical PXRD pattern (CuKα), based on a cell relaxed with PBE.
No peak broadening, texture or thermal motion is included.

Peak list (10 most intense, 15° ≤ 2θ ≤ 90°, by intensity)
h k l  two_theta  intensity
1 1 2  26.5  100
2 0 0  29.5  56
3 1 2  50.6  34
1 1 3  32.3  22
2 2 0  42.3  21
2 0 3  38.7  16
1 0 2  21.9  15
1 1 1  22.3  14
0 0 3  24.5  14
1 1 4  39.2  12

Structural model:
```
7
Lattice="6.048 0.000 0.000 0.000 6.048 0.000 0.000 0.000 10.914" Properties=species:S:1:pos:R:3 pbc="T T T"
Ba 0.000 0.000 0.000
Ba 0.000 3.024 3.441
Ba 0.000 3.024 7.473
Ba 3.024 0.000 3.441
Ba 3.024 0.000 7.473
Sr 3.024 3.024 0.000
Tl 0.000 0.000 5.457
```

***

No. 2
MgTl2S8: theoretical PXRD pattern (CuKα), based on a cell relaxed with PBE.
No peak broadening, texture or thermal motion is included.

Peak list (10 most intense, 15° ≤ 2θ ≤ 90°, by intensity)
h k l  two_theta  intensity
0 1 0  15.5  100
0 1 2  21.1  90
1 0 0  17.7  74
1 0 2  23.6  66
1 0 -2  25.3  62
0 2 0  31.3  57
1 1 -2  31.0  55
1 -1 2  30.0  51
-1 1 2  28.6  45
0 1 -2  24.7  40

Structural model:
```
11
Lattice="5.039 0.000 0.000 0.183 5.777 0.000 0.776 1.657 10.531" Properties=species:S:1:pos:R:3 pbc="T T T"
Mg 0.000 0.000 0.000
Tl 2.704 3.307 2.431
Tl 3.293 4.127 8.099
S 0.174 3.445 0.859
S 0.691 4.477 5.827
S 2.331 6.440 4.688
S 2.496 0.307 1.017
S 3.502 7.127 9.513
S 3.667 0.994 5.843
S 5.306 2.957 4.704
S 5.824 3.989 9.672
```